Diffraction record for CaCoSi2O6. The XRD peak list is theoretical, not measured: it uses a cell relaxed with PBE+U and Cu Kα (λ = 1.5418 Å).

Main lines, by angle (5 to 70 degrees two-theta):
13.49°, I 29; 29.45°, I 100; 29.74°, I 40; 34.52°, I 37; 35.05°, I 42; 35.12°, I 49; 41.74°, I 26; 51.45°, I 17; 55.88°, I 18; 64.40°, I 20

Cell and atoms:
```
CaCoSi2O6
1.0
4.9643 -4.5193 0.0000
4.9643 4.5193 0.0000
-1.4472 0.0000 5.1198
Ca Co Si O
2 2 4 12
direct
0.2034 0.7966 0.7500
0.7966 0.2034 0.2500
0.4062 0.5938 0.2500
0.5938 0.4062 0.7500
0.1204 0.3054 0.7689
0.3054 0.1204 0.2689
0.6946 0.8796 0.7311
0.8796 0.6946 0.2311
0.1105 0.6138 0.3231
0.1316 0.1685 0.0045
0.1685 0.1316 0.5045
0.2939 0.4716 0.8536
0.3862 0.8895 0.1769
0.4716 0.2939 0.3536
0.5284 0.7061 0.6464
0.6138 0.1105 0.8231
0.7061 0.5284 0.1464
0.8315 0.8684 0.4955
0.8684 0.8315 0.9955
0.8895 0.3862 0.6769
```